Record 1
Theoretical X-ray diffraction stick pattern
Compound: ZnReAs4
Radiation: copper Kα
Structure: a cell relaxed with GGA-PBE

Cell and atoms:
Cell: 5.394 5.394 5.394 Å, 60.00 60.00 60.00°
Positions (direct):
Zn 0.000 0.000 0.000
Re 0.250 0.250 0.250
As 0.126 0.625 0.625
As 0.625 0.126 0.625
As 0.625 0.625 0.126
As 0.625 0.625 0.625

The 10 most intense peaks (5 to 70 degrees two-theta), by angle:
4.404 Å, I = 10; 3.814 Å, I = 10; 2.697 Å, I = 43; 2.300 Å, I = 100; 2.202 Å, I = 27; 1.750 Å, I = 3; 1.706 Å, I = 5; 1.557 Å, I = 16; 1.468 Å, I = 32; 1.348 Å, I = 24

Record 2
Theoretical X-ray diffraction stick pattern
Compound: MgIn12Bi7
Radiation: copper Kα
Structure: a cell relaxed with GGA-PBE

Cell and atoms:
Cell: 9.538 9.538 9.538 Å, 112.02 112.02 112.02°
Positions (direct):
Mg 0.000 0.000 0.000
In 0.047 0.543 0.833
In 0.167 0.953 0.457
In 0.251 0.648 0.604
In 0.352 0.396 0.749
In 0.396 0.749 0.352
In 0.457 0.167 0.953
In 0.543 0.833 0.047
In 0.604 0.251 0.648
In 0.648 0.604 0.251
In 0.749 0.352 0.396
In 0.833 0.047 0.543
In 0.953 0.457 0.167
Bi 0.017 0.813 0.667
Bi 0.187 0.333 0.983
Bi 0.333 0.983 0.187
Bi 0.500 0.500 0.500
Bi 0.667 0.017 0.813
Bi 0.813 0.667 0.017
Bi 0.983 0.187 0.333

The 10 most intense peaks (5 to 70 degrees two-theta), by angle:
4.387 Å, I = 19; 3.230 Å, I = 21; 2.989 Å, I = 28; 2.937 Å, I = 100; 2.755 Å, I = 42; 2.501 Å, I = 66; 2.026 Å, I = 17; 1.814 Å, I = 14; 1.726 Å, I = 22; 1.574 Å, I = 15

Record 3
Theoretical X-ray diffraction stick pattern
Compound: CuReCl2
Radiation: copper Kα
Structure: a cell relaxed with GGA-PBE

Cell and atoms:
Cell: 3.060 3.060 10.210 Å, 90.00 90.00 124.24°
Positions (direct):
Cu 0.000 0.000 0.000
Re 0.000 0.000 0.500
Cl 0.500 0.500 0.311
Cl 0.500 0.500 0.689

The 10 most intense peaks (5 to 70 degrees two-theta), by angle:
10.210 Å, I = 100; 5.105 Å, I = 42; 2.705 Å, I = 24; 2.552 Å, I = 13; 2.530 Å, I = 12; 2.390 Å, I = 13; 2.267 Å, I = 50; 2.030 Å, I = 12; 1.797 Å, I = 17; 1.462 Å, I = 12

Record 4
Theoretical X-ray diffraction stick pattern
Compound: Co2SiGe
Radiation: copper Kα
Structure: a cell relaxed with GGA-PBE

Cell and atoms:
Cell: 4.528 4.529 4.543 Å, 90.00 90.64 90.00°
Positions (direct):
Co 0.136 0.000 0.384
Co 0.354 0.281 0.897
Co 0.646 0.781 0.103
Co 0.864 0.500 0.616
Si 0.156 0.801 0.913
Si 0.844 0.301 0.087
Ge 0.340 0.485 0.406
Ge 0.660 0.985 0.594

The 10 most intense peaks (5 to 70 degrees two-theta), by angle:
4.539 Å, I = 16; 2.608 Å, I = 26; 2.264 Å, I = 17; 2.039 Å, I = 43; 2.027 Å, I = 74; 2.024 Å, I = 100; 1.858 Å, I = 36; 1.853 Å, I = 26; 1.846 Å, I = 37; 1.843 Å, I = 15

Record 5
Theoretical X-ray diffraction stick pattern
Compound: Sm8Dy3Er2
Radiation: copper Kα
Structure: a cell relaxed with GGA-PBE

Cell and atoms:
Cell: 10.799 10.799 5.694 Å, 90.00 90.00 138.22°
Positions (direct):
Sm 0.132 0.868 0.000
Sm 0.186 0.400 0.500
Sm 0.328 0.672 0.000
Sm 0.400 0.186 0.500
Sm 0.600 0.814 0.500
Sm 0.672 0.328 0.000
Sm 0.814 0.600 0.500
Sm 0.868 0.132 0.000
Dy 0.000 0.000 0.500
Dy 0.286 0.286 0.000
Dy 0.714 0.714 0.000
Er 0.240 0.760 0.500
Er 0.760 0.240 0.500

The 10 most intense peaks (5 to 70 degrees two-theta), by angle:
3.597 Å, I = 23; 3.027 Å, I = 35; 2.896 Å, I = 34; 2.847 Å, I = 43; 2.696 Å, I = 100; 2.522 Å, I = 11; 2.232 Å, I = 13; 1.613 Å, I = 21; 1.452 Å, I = 12; 1.395 Å, I = 10

Record 6
Theoretical X-ray diffraction stick pattern
Compound: La3Nd2Sn2
Radiation: copper Kα
Structure: a cell relaxed with GGA-PBE

Cell and atoms:
Cell: 8.818 8.818 8.295 Å, 116.04 116.04 23.71°
Positions (direct):
La 0.000 0.000 0.000
La 0.209 0.209 0.144
La 0.791 0.791 0.856
Nd 0.111 0.111 0.472
Nd 0.889 0.889 0.528
Sn 0.421 0.421 0.232
Sn 0.579 0.579 0.768

The 10 most intense peaks (5 to 70 degrees two-theta), by angle:
3.598 Å, I = 21; 3.320 Å, I = 22; 3.066 Å, I = 37; 2.926 Å, I = 70; 2.774 Å, I = 27; 2.737 Å, I = 34; 2.698 Å, I = 100; 2.498 Å, I = 73; 1.682 Å, I = 24; 1.541 Å, I = 27

Record 7
Theoretical X-ray diffraction stick pattern
Compound: Ho2In3Hg
Radiation: copper Kα
Structure: a cell relaxed with GGA-PBE

Cell and atoms:
Cell: 9.908 9.274 6.079 Å, 77.30 65.94 36.77°
Positions (direct):
Ho 0.248 0.752 0.752
Ho 0.250 0.250 0.250
Ho 0.750 0.750 0.750
Ho 0.752 0.248 0.248
In 0.165 0.667 0.333
In 0.332 0.332 0.668
In 0.333 0.835 0.165
In 0.667 0.165 0.835
In 0.668 0.668 0.332
In 0.835 0.333 0.667
Hg 0.166 0.166 0.834
Hg 0.834 0.834 0.166

The 10 most intense peaks (5 to 70 degrees two-theta), by angle:
4.052 Å, I = 3; 3.521 Å, I = 5; 2.722 Å, I = 100; 2.477 Å, I = 82; 2.026 Å, I = 6; 1.832 Å, I = 31; 1.761 Å, I = 10; 1.473 Å, I = 30; 1.435 Å, I = 30; 1.430 Å, I = 15

Record 8
Theoretical X-ray diffraction stick pattern
Compound: La2Pr5Tm6
Radiation: copper Kα
Structure: a cell relaxed with GGA-PBE

Cell and atoms:
Cell: 11.709 20.880 3.611 Å, 90.00 90.00 90.00°
Positions (direct):
La 0.188 0.233 0.000
La 0.312 0.733 0.000
La 0.688 0.267 0.000
La 0.812 0.767 0.000
Pr 0.000 0.500 0.500
Pr 0.069 0.792 0.500
Pr 0.197 0.067 0.500
Pr 0.303 0.567 0.500
Pr 0.431 0.292 0.500
Pr 0.500 0.000 0.500
Pr 0.569 0.708 0.500
Pr 0.697 0.433 0.500
Pr 0.803 0.933 0.500
Pr 0.931 0.208 0.500
Tm 0.060 0.644 0.000
Tm 0.073 0.934 0.000
Tm 0.190 0.380 0.500
Tm 0.310 0.880 0.500
Tm 0.427 0.434 0.000
Tm 0.440 0.144 0.000
Tm 0.560 0.856 0.000
Tm 0.573 0.566 0.000
Tm 0.690 0.120 0.500
Tm 0.810 0.620 0.500
Tm 0.927 0.066 0.000
Tm 0.940 0.356 0.000

The 10 most intense peaks (5 to 70 degrees two-theta), by angle:
3.092 Å, I = 24; 2.895 Å, I = 100; 2.879 Å, I = 26; 2.812 Å, I = 63; 2.648 Å, I = 42; 2.597 Å, I = 24; 2.477 Å, I = 21; 1.806 Å, I = 24; 1.786 Å, I = 15; 1.532 Å, I = 30